[1]
Structure and theoretical powder diffractogram of Li2AgF4 (a structure optimized by DFT (PBE); copper Kα).
Lines closer than 0.1° are merged.

Peak list (8 most intense, 2θ = 10–90°, by intensity)
- 14.4°, I 100
- 34.9°, I 21
- 20.4°, I 16
- 32.5°, I 15
- 31.6°, I 14
- 57.4°, I 14
- 46.6°, I 12
- 29.0°, I 12

Structural model:
```
Li2AgF4
1.0
8.716 0.000 0.000
0.000 8.716 0.000
0.000 0.000 5.664
Li Ag F
8 4 16
direct
0.023 0.523 0.250
0.023 0.977 0.750
0.477 0.523 0.750
0.477 0.977 0.250
0.523 0.023 0.750
0.523 0.477 0.250
0.977 0.023 0.250
0.977 0.477 0.750
0.250 0.250 0.022
0.250 0.250 0.522
0.750 0.750 0.478
0.750 0.750 0.978
0.031 0.149 0.528
0.031 0.351 0.028
0.149 0.031 0.028
0.149 0.469 0.528
0.351 0.031 0.528
0.351 0.469 0.028
0.469 0.149 0.028
0.469 0.351 0.528
0.531 0.649 0.472
0.531 0.851 0.972
0.649 0.531 0.972
0.649 0.969 0.472
0.851 0.531 0.472
0.851 0.969 0.972
0.969 0.649 0.972
0.969 0.851 0.472
```

[2]
Structure and theoretical powder diffractogram of Nd7In6Ni5Ge3 (a structure optimized by DFT (PBE); copper Kα).
Lines closer than 0.1° are merged.

Peak list (8 most intense, 2θ = 10–90°, by intensity)
- 32.1°, I 100
- 34.6°, I 65
- 39.5°, I 27
- 43.5°, I 24
- 32.5°, I 23
- 60.2°, I 17
- 41.7°, I 16
- 56.1°, I 16

Structural model:
```
Nd7In6Ni5Ge3
1.0
11.473 0.000 0.000
-5.736 9.936 0.000
0.000 0.000 4.163
Nd In Ni Ge
7 6 5 3
direct
0.000 0.000 0.000
0.076 0.698 0.000
0.302 0.378 0.000
0.379 0.084 0.000
0.622 0.924 0.000
0.705 0.621 0.000
0.916 0.295 0.000
0.162 0.519 0.500
0.357 0.838 0.500
0.481 0.643 0.500
0.514 0.350 0.500
0.650 0.165 0.500
0.835 0.486 0.500
0.246 0.164 0.500
0.333 0.667 0.000
0.667 0.333 0.000
0.836 0.082 0.500
0.918 0.754 0.500
0.077 0.232 0.500
0.155 0.923 0.500
0.768 0.845 0.500
```

[3]
Structure and theoretical powder diffractogram of Nd2PbSe4 (a structure optimized by DFT (PBE); copper Kα).
Lines closer than 0.1° are merged.

Peak list (8 most intense, 2θ = 10–90°, by intensity)
- 31.2°, I 100
- 37.2°, I 66
- 24.1°, I 37
- 63.3°, I 27
- 44.8°, I 27
- 51.5°, I 20
- 47.1°, I 18
- 77.5°, I 16

Structural model:
```
Nd2PbSe4
1.0
-4.529 4.529 4.520
4.529 -4.529 4.520
4.529 4.529 -4.520
Nd Pb Se
4 2 8
direct
0.006 0.125 0.381
0.375 0.994 0.119
0.744 0.625 0.619
0.875 0.256 0.881
0.250 0.750 0.500
0.500 0.500 0.000
0.115 0.518 0.748
0.117 0.020 0.752
0.268 0.365 0.248
0.482 0.230 0.597
0.633 0.885 0.403
0.635 0.883 0.903
0.770 0.367 0.252
0.980 0.732 0.097
```

[4]
Structure and theoretical powder diffractogram of CeCoSi3 (a structure optimized by DFT (PBE); copper Kα).
Lines closer than 0.1° are merged.

Peak list (8 most intense, 2θ = 10–90°, by intensity)
- 35.8°, I 100
- 36.2°, I 88
- 23.6°, I 58
- 44.1°, I 57
- 30.8°, I 57
- 58.0°, I 48
- 75.9°, I 25
- 67.3°, I 22

Structural model:
```
CeCoSi3
1.0
4.110 0.000 0.000
0.000 4.110 0.000
0.000 0.000 9.506
Ce Co Si
2 2 6
direct
0.000 0.000 0.000
0.500 0.500 0.500
0.000 0.000 0.661
0.500 0.500 0.161
0.000 0.000 0.424
0.000 0.500 0.260
0.000 0.500 0.760
0.500 0.000 0.260
0.500 0.000 0.760
0.500 0.500 0.924
```

[5]
Structure and theoretical powder diffractogram of DyBO3 (a structure optimized by DFT (PBE); copper Kα).
Lines closer than 0.1° are merged.

Peak list (8 most intense, 2θ = 10–90°, by intensity)
- 32.8°, I 100
- 25.3°, I 97
- 20.5°, I 72
- 26.4°, I 48
- 49.4°, I 45
- 33.6°, I 41
- 45.9°, I 36
- 50.8°, I 31

Structural model:
```
DyBO3
1.0
8.671 0.000 0.000
0.000 3.379 2.057
0.000 -3.379 2.057
Dy B O
2 2 6
direct
0.000 0.000 0.000
0.500 0.000 0.000
0.250 0.706 0.449
0.750 0.449 0.706
0.104 0.622 0.281
0.250 0.905 0.840
0.396 0.622 0.281
0.604 0.281 0.622
0.750 0.840 0.905
0.896 0.281 0.622
```

[6]
Structure and theoretical powder diffractogram of AlTl2Cu3Se4 (a structure optimized by DFT (PBE); copper Kα).
Lines closer than 0.1° are merged.

Peak list (8 most intense, 2θ = 10–90°, by intensity)
- 28.6°, I 100
- 34.0°, I 47
- 45.5°, I 39
- 54.7°, I 33
- 31.8°, I 27
- 32.8°, I 24
- 36.6°, I 19
- 23.1°, I 19

Structural model:
```
AlTl2Cu3Se4
1.0
3.986 0.000 0.000
0.000 3.986 0.000
0.000 0.000 14.992
Al Tl Cu Se
1 2 3 4
direct
0.000 0.000 0.000
0.000 0.500 0.707
0.500 0.000 0.293
0.000 0.000 0.500
0.500 0.500 0.000
0.500 0.500 0.500
0.000 0.500 0.100
0.000 0.500 0.395
0.500 0.000 0.605
0.500 0.000 0.900
```

[7]
Structure and theoretical powder diffractogram of Na3YBr6 (a structure optimized by DFT (PBE); copper Kα).
Lines closer than 0.1° are merged.

Peak list (8 most intense, 2θ = 10–90°, by intensity)
- 27.2°, I 100
- 27.5°, I 71
- 27.0°, I 68
- 28.1°, I 63
- 42.1°, I 42
- 36.8°, I 38
- 33.7°, I 36
- 29.8°, I 35

Structural model:
```
Na3YBr6
1.0
7.306 0.000 0.000
0.000 7.767 0.000
-7.193 0.000 10.931
Na Y Br
6 2 12
direct
0.000 0.000 0.000
0.000 0.500 0.500
0.207 0.085 0.735
0.207 0.415 0.235
0.793 0.585 0.765
0.793 0.915 0.265
0.500 0.000 0.500
0.500 0.500 0.000
0.119 0.179 0.435
0.119 0.321 0.935
0.251 0.694 0.420
0.251 0.806 0.920
0.403 0.063 0.262
0.403 0.437 0.762
0.597 0.563 0.238
0.597 0.937 0.738
0.749 0.194 0.080
0.749 0.306 0.580
0.881 0.679 0.065
0.881 0.821 0.565
```

[8]
Structure and theoretical powder diffractogram of Rb3RuF6 (a structure optimized by DFT (PBE); copper Kα).
Lines closer than 0.1° are merged.

Peak list (8 most intense, 2θ = 10–90°, by intensity)
- 27.0°, I 100
- 47.8°, I 39
- 38.6°, I 38
- 55.7°, I 23
- 76.4°, I 22
- 63.0°, I 20
- 89.1°, I 11
- 69.9°, I 7

Structural model:
```
Rb3RuF6
1.0
0.000 4.664 4.664
4.664 0.000 4.664
4.664 4.664 0.000
Rb Ru F
3 1 6
direct
0.000 0.000 0.000
0.250 0.250 0.250
0.750 0.750 0.750
0.500 0.500 0.500
0.283 0.283 0.717
0.283 0.717 0.283
0.283 0.717 0.717
0.717 0.283 0.283
0.717 0.283 0.717
0.717 0.717 0.283
```

[9]
Structure and theoretical powder diffractogram of Ba2PtAu (a structure optimized by DFT (PBE); copper Kα).
Lines closer than 0.1° are merged.

Peak list (8 most intense, 2θ = 10–90°, by intensity)
- 35.2°, I 100
- 28.0°, I 94
- 35.0°, I 36
- 37.1°, I 33
- 40.1°, I 31
- 14.7°, I 25
- 29.8°, I 22
- 54.2°, I 21

Structural model:
```
Ba2PtAu
1.0
4.847 0.000 0.000
0.000 4.503 0.000
0.000 0.000 12.081
Ba Pt Au
4 2 2
direct
0.000 0.000 0.000
0.000 0.500 0.500
0.500 0.000 0.274
0.500 0.500 0.774
0.000 0.000 0.713
0.000 0.500 0.213
0.500 0.000 0.562
0.500 0.500 0.062
```

[10]
Structure and theoretical powder diffractogram of TlV3Cr2S8 (a structure optimized by DFT (PBE); copper Kα).
Lines closer than 0.1° are merged.

Peak list (8 most intense, 2θ = 10–90°, by intensity)
- 34.0°, I 100
- 41.9°, I 52
- 21.3°, I 50
- 47.3°, I 49
- 35.5°, I 39
- 55.0°, I 39
- 20.7°, I 38
- 21.1°, I 30

Structural model:
```
TlV3Cr2S8
1.0
8.657 -1.677 0.000
8.657 1.677 0.000
-1.966 0.000 8.562
Tl V Cr S
1 3 2 8
direct
0.000 0.000 0.000
0.146 0.146 0.487
0.500 0.500 0.500
0.854 0.854 0.513
0.205 0.205 0.831
0.795 0.795 0.169
0.072 0.072 0.670
0.262 0.262 0.351
0.330 0.330 0.008
0.414 0.414 0.682
0.586 0.586 0.318
0.670 0.670 0.992
0.738 0.738 0.649
0.928 0.928 0.330
```